The following is a computed X-ray powder pattern of Li2Mn3Cl8. It was derived from a structure optimized by DFT (PBE), using Cu Ka.
Peak positions follow from Bragg's law for the DFT cell and can differ from measured ones.

Structural model:
a b c (Å): 7.521 14.807 10.620
angles (deg): 90.00 90.00 90.00
Space group Cmce (No. 64)
Asymmetric unit:
Li: 0.000 0.128 0.111
Mn: 0.000 0.000 0.500
Mn: 0.250 0.134 0.750
Cl: 0.000 0.005 0.745
Cl: 0.000 0.245 0.755
Cl: 0.237 0.119 0.516

Peak list (10 most intense, 10 to 90 degrees two-theta, low angle first)
(0 2 1), 14.58 deg, intensity 73
(1 1 1), 15.63 deg, intensity 29
(2 2 1), 27.91 deg, intensity 34
(0 0 4), 33.76 deg, intensity 50
(2 4 0), 33.98 deg, intensity 100
(2 6 1), 44.75 deg, intensity 15
(4 0 0), 48.40 deg, intensity 21
(2 4 4), 48.66 deg, intensity 67
(0 8 0), 49.23 deg, intensity 16
(4 0 4), 60.32 deg, intensity 15